For Sr2TaMnO6, a PBE+U-relaxed structure gives the calculated powder diffractogram in this record (a wavelength of 1.5418 Å).
Lines closer than 0.1° are merged.

Structure:
```
data_Sr2TaMnO6
_chemical_formula_sum 'Sr4 Ta2 Mn2 O12'
_space_group_name_H-M_alt 'P -1'
_space_group_IT_number 2
_cell_length_a 5.661
_cell_length_b 5.706
_cell_length_c 9.827
_cell_angle_alpha 73.48
_cell_angle_beta 73.37
_cell_angle_gamma 60.34
loop_
_space_group_symop_operation_xyz
'x,y,z'
'-x,-y,-z'
loop_
_atom_site_label
_atom_site_type_symbol
_atom_site_fract_x
_atom_site_fract_y
_atom_site_fract_z
_atom_site_occupancy
Sr1 Sr 0.123 0.129 0.125 1
Sr2 Sr 0.373 0.380 0.374 1
Ta1 Ta 0.259 0.232 0.750 1
Mn1 Mn 0.000 0.000 0.500 1
Mn2 Mn 0.500 0.500 0.000 1
O1 O 0.102 0.659 0.123 1
O2 O 0.134 0.093 0.629 1
O3 O 0.150 0.580 0.621 1
O4 O 0.357 0.906 0.371 1
O5 O 0.385 0.342 0.877 1
O6 O 0.397 0.840 0.868 1
```

Top 8 peaks for 5° ≤ 2θ ≤ 70°, by intensity:
2θ/deg, intensity, index
31.5, 100, 1 0 3
31.3, 68, 1 2 1
19.1, 35, 0 0 2
31.6, 33, 2 1 1
56.1, 33, 1 1 6
55.9, 27, 1 3 4
45.2, 21, 2 0 -2
45.3, 21, 2 2 4